For Sr5Cd5P6O24F2, a cell relaxed with PBE gives the theoretical powder diffractogram in this record (Cu Kα, 1.54184 Å).
Intensities are scaled so that the largest is 100.

Most intense lines, 2θ = 15–90°, by intensity:
hkl 1 2 1, 2θ = 31.31°, rel. 100; hkl 1 1 -3, 2θ = 30.85°, rel. 75; hkl 3 0 0, 2θ = 32.06°, rel. 55; hkl 0 2 1, 2θ = 27.36°, rel. 46; hkl 3 1 -2, 2θ = 30.98°, rel. 40; hkl 2 0 1, 2θ = 28.09°, rel. 39; hkl 2 2 -4, 2θ = 45.32°, rel. 34; hkl 0 0 3, 2θ = 31.89°, rel. 29; hkl 1 3 -3, 2θ = 48.04°, rel. 27; hkl 2 0 0, 2θ = 21.21°, rel. 25

Structural model:
Cell lengths 9.655, 7.076, 9.705 Å; angles 90.00, 119.82, 90.00 degrees
Space group Pm (No. 6)
One atom of each set of equivalent atoms:
Sr (0.000, 0.000, 0.000) [1 per cell]
Sr (0.001, 0.500, 0.249) [1 per cell]
Sr (0.505, 0.000, 0.770) [1 per cell]
Sr (0.745, 0.500, 0.762) [1 per cell]
Sr (0.766, 0.000, 0.259) [1 per cell]
Cd (0.087, 0.249, 0.674) [2 per cell]
Cd (0.424, 0.251, 0.342) [2 per cell]
Cd (0.494, 0.500, 0.998) [1 per cell]
P (0.133, 0.500, 0.986) [1 per cell]
P (0.157, 0.000, 0.383) [1 per cell]
P (0.355, 0.500, 0.638) [1 per cell]
P (0.384, 0.000, 0.033) [1 per cell]
P (0.729, 0.000, 0.609) [1 per cell]
P (0.782, 0.500, 0.410) [1 per cell]
O (0.023, 0.325, 0.940) [2 per cell]
O (0.090, 0.175, 0.275) [2 per cell]
O (0.104, 0.000, 0.512) [1 per cell]
O (0.168, 0.500, 0.556) [1 per cell]
O (0.219, 0.500, 0.885) [1 per cell]
O (0.253, 0.000, 0.853) [1 per cell]
O (0.256, 0.500, 0.169) [1 per cell]
O (0.305, 0.000, 0.141) [1 per cell]
O (0.344, 0.000, 0.464) [1 per cell]
O (0.411, 0.500, 0.510) [1 per cell]
O (0.422, 0.325, 0.746) [2 per cell]
O (0.493, 0.178, 0.073) [2 per cell]
O (0.599, 0.500, 0.355) [1 per cell]
O (0.624, 0.000, 0.423) [1 per cell]
O (0.688, 0.175, 0.675) [2 per cell]
O (0.828, 0.324, 0.348) [2 per cell]
O (0.886, 0.500, 0.597) [1 per cell]
O (0.912, 0.000, 0.662) [1 per cell]
F (0.736, 0.500, 0.012) [1 per cell]
F (0.758, 0.000, 0.009) [1 per cell]

=====

For UF5, a cell relaxed with PBE gives the theoretical powder diffractogram in this record (Cu Kα, 1.54184 Å).
Intensities are scaled so that the largest is 100.

Most intense lines, 2θ = 15–90°, by intensity:
hkl 2 1 1, 2θ = 23.89°, rel. 100; hkl 3 1 0, 2θ = 24.36°, rel. 71; hkl 1 0 1, 2θ = 18.20°, rel. 47; hkl 5 2 1, 2θ = 45.52°, rel. 30; hkl 3 3 2, 2θ = 47.53°, rel. 24; hkl 5 0 1, 2θ = 42.59°, rel. 23; hkl 6 2 2, 2θ = 61.38°, rel. 19; hkl 3 2 1, 2θ = 32.53°, rel. 18; hkl 4 0 2, 2θ = 46.13°, rel. 18; hkl 2 0 0, 2θ = 15.34°, rel. 18

Structural model:
Cell lengths 11.554, 11.554, 5.377 Å; angles 90.00, 90.00, 90.00 degrees
Space group I-42d (No. 122)
One atom of each set of equivalent atoms:
U (0.090, 0.250, 0.125) [8 per cell]
F (0.040, 0.170, 0.441) [16 per cell]
F (0.076, 0.645, 0.248) [16 per cell]
F (0.226, 0.750, 0.625) [8 per cell]

=====

For CaIrO3, a cell relaxed with PBE gives the theoretical powder diffractogram in this record (Cu Kα, 1.54184 Å).
Intensities are scaled so that the largest is 100.

Most intense lines, 2θ = 15–90°, by intensity:
hkl 1 1 0, 2θ = 32.02°, rel. 100; hkl 1 0 0, 2θ = 22.49°, rel. 70; hkl 2 1 1, 2θ = 57.06°, rel. 40; hkl 2 1 0, 2θ = 51.70°, rel. 31; hkl 2 0 0, 2θ = 45.91°, rel. 31; hkl 2 2 0, 2θ = 66.95°, rel. 19; hkl 3 1 0, 2θ = 76.14°, rel. 17; hkl 3 0 0, 2θ = 71.61°, rel. 15; hkl 1 1 1, 2θ = 39.48°, rel. 8; hkl 3 2 0, 2θ = 89.35°, rel. 7

Structural model:
Cell lengths 3.953, 3.953, 3.953 Å; angles 90.00, 90.00, 90.00 degrees
Space group Pm-3m (No. 221)
One atom of each set of equivalent atoms:
Ca (0.000, 0.000, 0.000) [1 per cell]
Ir (0.500, 0.500, 0.500) [1 per cell]
O (0.000, 0.500, 0.500) [3 per cell]

=====

For Ce2Gd2O7, a cell relaxed with PBE gives the theoretical powder diffractogram in this record (Cu Kα, 1.54184 Å).
Intensities are scaled so that the largest is 100.

Most intense lines, 2θ = 15–90°, by intensity:
hkl 4 2 -2, 2θ = 28.03°, rel. 100; hkl 4 4 0, 2θ = 46.58°, rel. 40; hkl 8 2 -6, 2θ = 55.27°, rel. 40; hkl 4 0 0, 2θ = 32.48°, rel. 32; hkl 8 0 -4, 2θ = 46.67°, rel. 8; hkl 12 2 -6, 2θ = 75.18°, rel. 7; hkl 4 6 -6, 2θ = 75.05°, rel. 7; hkl 8 0 -8, 2θ = 68.02°, rel. 6; hkl 8 4 -8, 2θ = 77.42°, rel. 6; hkl 12 4 -8, 2θ = 86.57°, rel. 6

Structural model:
Cell lengths 15.571, 11.025, 11.026 Å; angles 90.00, 134.92, 90.00 degrees
Space group C2 (No. 5)
One atom of each set of equivalent atoms:
Ce (0.000, 0.000, 0.000) [2 per cell]
Ce (0.000, 0.046, 0.500) [2 per cell]
Ce (0.012, 0.287, 0.750) [4 per cell]
Ce (0.227, 0.525, 0.476) [4 per cell]
Ce (0.249, 0.773, 0.772) [4 per cell]
Gd (0.000, 0.526, 0.500) [2 per cell]
Gd (0.000, 0.528, 0.000) [2 per cell]
Gd (0.012, 0.763, 0.774) [4 per cell]
Gd (0.247, 0.773, 0.246) [4 per cell]
Gd (0.250, 0.025, 0.001) [4 per cell]
O (0.107, 0.150, 0.002) [4 per cell]
O (0.109, 0.902, 0.710) [4 per cell]
O (0.117, 0.401, 0.487) [4 per cell]
O (0.120, 0.157, 0.745) [4 per cell]
O (0.121, 0.646, 0.250) [4 per cell]
O (0.122, 0.894, 0.001) [4 per cell]
O (0.124, 0.129, 0.483) [4 per cell]
O (0.126, 0.394, 0.993) [4 per cell]
O (0.127, 0.401, 0.749) [4 per cell]
O (0.128, 0.652, 0.758) [4 per cell]
O (0.128, 0.923, 0.271) [4 per cell]
O (0.130, 0.644, 0.009) [4 per cell]
O (0.146, 0.380, 0.270) [4 per cell]
O (0.147, 0.665, 0.525) [4 per cell]

=====

For Eu3U, a cell relaxed with PBE gives the theoretical powder diffractogram in this record (Cu Kα, 1.54184 Å).
Intensities are scaled so that the largest is 100.

Most intense lines, 2θ = 15–90°, by intensity:
hkl 2 2 0, 2θ = 28.61°, rel. 100; hkl 4 2 2, 2θ = 50.67°, rel. 42; hkl 6 4 2, 2θ = 81.64°, rel. 22; hkl 4 0 0, 2θ = 40.90°, rel. 19; hkl 6 2 0, 2θ = 67.07°, rel. 18; hkl 4 4 0, 2θ = 59.22°, rel. 13; hkl 4 4 4, 2θ = 74.48°, rel. 5; hkl 1 1 1, 2θ = 17.40°, rel. 2; hkl 8 0 0, 2θ = 88.66°, rel. 2; hkl 3 1 1, 2θ = 33.68°, rel. 2

Structural model:
Cell lengths 8.826, 8.826, 8.826 Å; angles 90.00, 90.00, 90.00 degrees
Space group Fm-3m (No. 225)
One atom of each set of equivalent atoms:
Eu (0.000, 0.000, 0.000) [4 per cell]
Eu (0.250, 0.250, 0.250) [8 per cell]
U (0.000, 0.000, 0.500) [4 per cell]